No. 1
Starting from a crystal structure in the Materials Project, relaxed with PBE, the powder X-ray diffraction pattern of ZrSc2 was simulated for Cu Kα, 1.54184 Å.

abc: 11.8568 3.2773 7.6478
angles: 90.00 103.26 90.00
Space group C2/m (No. 12)
Unique sites:
Zr: 0.0261 0.0000 0.3071 [4 per cell]
Sc: 0.1332 0.5000 0.0262 [4 per cell]
Sc: 0.1911 0.5000 0.6369 [4 per cell]

Most intense lines, 10 to 90 degrees two-theta, sorted by position:
h k l	two_theta	I (rel.)
2 0 0	15.4	28
1 1 1	31.5	49
4 0 -2	34.7	50
4 0 1	35.9	34
3 1 0	36.0	70
0 0 3	36.2	100
3 1 -3	47.7	15
3 1 3	56.0	23
4 2 -2	67.7	14
0 2 3	68.6	14



No. 2
Starting from a crystal structure in the Materials Project, relaxed with PBE, the powder X-ray diffraction pattern of ZrSc was simulated for Cu Kα, 1.54184 Å.

abc: 3.2701 3.2701 5.1542
angles: 90.00 90.00 120.00
Space group P-6m2 (No. 187)
Unique sites:
Zr: 0.0000 0.0000 0.0000 [1 per cell]
Sc: 0.3333 0.6667 0.5000 [1 per cell]

Most intense lines, 10 to 90 degrees two-theta, sorted by position:
h k l	two_theta	I (rel.)
0 0 1	17.2	16
1 0 0	31.6	32
0 0 2	34.8	24
1 0 1	36.2	100
1 0 2	47.7	20
1 1 0	56.3	17
1 0 3	63.3	18
1 1 2	67.9	18
2 0 1	68.8	14
2 0 3	89.7	7



No. 3
Starting from a crystal structure in the Materials Project, relaxed with PBE, the powder X-ray diffraction pattern of Se was simulated for Cu Kα, 1.54184 Å.

abc: 4.5195 4.5195 5.0500
angles: 90.00 90.00 120.00
Space group P3_121 (No. 152)
Unique sites:
Se: 0.0000 0.2192 0.1667 [3 per cell]

Most intense lines, 10 to 90 degrees two-theta, sorted by position:
h k l	two_theta	I (rel.)
1 0 0	22.7	50
1 0 1	28.9	100
1 1 0	39.9	16
0 1 2	42.6	34
1 1 1	43.9	27
2 0 1	50.0	25
0 0 3	54.5	21
0 2 2	59.8	21
2 1 0	62.8	19
2 1 3	87.9	16



No. 4
Starting from a crystal structure in the Materials Project, relaxed with PBE, the powder X-ray diffraction pattern of Se was simulated for Cu Kα, 1.54184 Å.

abc: 4.7313 8.0561 2.7444
angles: 90.00 90.00 90.00
Space group P2_12_12 (No. 18)
Unique sites:
Se: 0.1811 0.1001 0.2376 [4 per cell]

Most intense lines, 10 to 90 degrees two-theta, sorted by position:
h k l	two_theta	I (rel.)
1 1 0	21.8	32
1 2 0	29.1	100
0 1 1	34.5	55
2 0 0	38.0	14
1 1 1	39.6	33
0 4 0	45.0	13
1 3 1	51.4	40
2 3 0	51.5	14
2 1 1	52.3	14
2 2 1	56.2	21



No. 5
Starting from a crystal structure in the Materials Project, relaxed with PBE, the powder X-ray diffraction pattern of Se was simulated for Cu Kα, 1.54184 Å.

abc: 3.4478 3.4478 3.4478
angles: 90.00 90.00 90.00
Space group Im-3m (No. 229)
Unique sites:
Se: 0.0000 0.0000 0.0000 [2 per cell]

Most intense lines, 10 to 90 degrees two-theta, sorted by position:
h k l	two_theta	I (rel.)
1 1 0	36.9	100
2 0 0	53.1	17
2 1 1	66.4	35
2 2 0	78.5	11
3 1 0	90.0	16



No. 6
Starting from a crystal structure in the Materials Project, relaxed with PBE, the powder X-ray diffraction pattern of Se was simulated for Cu Kα, 1.54184 Å.

abc: 9.4504 10.2731 15.4352
angles: 90.00 126.92 90.00
Space group P2_1/c (No. 14)
Unique sites:
Se: 0.0110 0.0942 0.1426 [4 per cell]
Se: 0.0608 0.6542 0.1417 [4 per cell]
Se: 0.0747 0.0048 0.7574 [4 per cell]
Se: 0.2141 0.1392 0.5315 [4 per cell]
Se: 0.3103 0.0381 0.2303 [4 per cell]
Se: 0.4058 0.6923 0.9864 [4 per cell]
Se: 0.4087 0.2009 0.0462 [4 per cell]
Se: 0.4809 0.2230 0.3310 [4 per cell]

Most intense lines, 10 to 90 degrees two-theta, sorted by position:
h k l	two_theta	I (rel.)
0 2 1	18.7	70
2 1 -2	20.7	37
1 2 0	20.9	100
0 2 2	22.5	92
1 0 2	23.5	66
1 1 -4	25.3	41
2 2 -1	26.6	41
2 2 -3	26.7	89
2 1 1	29.9	43
0 1 4	30.3	52



No. 7
Starting from a crystal structure in the Materials Project, relaxed with PBE, the powder X-ray diffraction pattern of Se was simulated for Cu Kα, 1.54184 Å.

abc: 11.2884 11.2884 5.3134
angles: 90.00 90.00 120.00
Space group R-3 (No. 148, hexagonal axes)
Unique sites:
Se: 0.0369 0.8315 0.1006 [18 per cell]

Most intense lines, 10 to 90 degrees two-theta, sorted by position:
h k l	two_theta	I (rel.)
1 0 1	19.0	81
3 0 0	27.4	18
3 -1 1	29.4	100
2 2 0	31.7	15
1 2 2	41.9	33
4 1 0	42.4	32
4 -1 2	47.9	23
2 4 1	52.4	21
5 1 1	55.1	15
2 2 3	61.8	15



No. 8
Starting from a crystal structure in the Materials Project, relaxed with PBE, the powder X-ray diffraction pattern of Se was simulated for Cu Kα, 1.54184 Å.

abc: 6.3428 6.3428 6.3428
angles: 90.00 90.00 90.00
Space group Fd-3m (No. 227, origin choice 2)
Unique sites:
Se: 0.1250 0.1250 0.1250 [8 per cell]

Most intense lines, 10 to 90 degrees two-theta, sorted by position:
h k l	two_theta	I (rel.)
1 1 1	24.3	100
2 2 0	40.2	77
3 1 1	47.5	47
4 0 0	58.2	13
3 3 1	64.0	19
4 2 2	73.1	26
5 1 1	78.3	14
4 4 0	86.9	9



No. 9
Starting from a crystal structure in the Materials Project, relaxed with PBE, the powder X-ray diffraction pattern of Se was simulated for Cu Kα, 1.54184 Å.

abc: 2.8234 8.7900 4.6422
angles: 90.00 90.00 90.00
Space group Cmcm (No. 63)
Unique sites:
Se: 0.0000 0.0587 0.2500 [4 per cell]

Most intense lines, 10 to 90 degrees two-theta, sorted by position:
h k l	two_theta	I (rel.)
0 2 0	20.2	100
0 2 1	28.0	73
1 1 0	33.3	88
0 0 2	38.8	50
0 2 2	44.1	25
0 4 1	45.7	41
1 3 1	48.9	54
1 1 2	52.1	48
1 5 1	65.7	25
2 4 1	84.1	14



No. 10
Starting from a crystal structure in the Materials Project, relaxed with PBE, the powder X-ray diffraction pattern of Se was simulated for Cu Kα, 1.54184 Å.

abc: 2.8296 2.8296 2.8296
angles: 90.00 90.00 90.00
Space group Pm-3m (No. 221)
Unique sites:
Se: 0.0000 0.0000 0.0000 [1 per cell]

Most intense lines, 10 to 90 degrees two-theta, sorted by position:
h k l	two_theta	I (rel.)
1 0 0	31.6	100
1 1 0	45.3	72
1 1 1	56.3	25
2 0 0	66.0	12
2 1 0	75.1	32
2 1 1	83.7	24



No. 11
Starting from a crystal structure in the Materials Project, relaxed with PBE, the powder X-ray diffraction pattern of Se was simulated for Cu Kα, 1.54184 Å.

abc: 10.2363 8.4859 13.6403
angles: 90.00 95.19 90.00
Space group P2_1/c (No. 14)
Unique sites:
Se: 0.0628 0.0853 0.3551 [4 per cell]
Se: 0.1530 0.1668 0.0865 [4 per cell]
Se: 0.1613 0.1765 0.9133 [4 per cell]
Se: 0.2326 0.5977 0.8365 [4 per cell]
Se: 0.2465 0.7340 0.4758 [4 per cell]
Se: 0.3369 0.5202 0.2056 [4 per cell]
Se: 0.3585 0.2473 0.6599 [4 per cell]
Se: 0.4239 0.6796 0.0854 [4 per cell]

Most intense lines, 10 to 90 degrees two-theta, sorted by position:
h k l	two_theta	I (rel.)
2 0 0	17.4	47
2 1 0	20.3	40
2 0 -2	20.8	89
2 1 1	21.8	55
0 1 3	22.3	65
2 0 2	22.7	41
2 1 -2	23.3	100
0 2 2	24.7	51
1 1 -4	28.9	63
3 0 2	30.5	40



No. 12
Starting from a crystal structure in the Materials Project, relaxed with PBE, the powder X-ray diffraction pattern of SiSe2 was simulated for Cu Kα, 1.54184 Å.

abc: 6.5979 10.9283 5.9320
angles: 90.00 90.00 90.00
Space group Ibam (No. 72)
Unique sites:
Si: 0.0000 0.0000 0.2500 [4 per cell]
Se: 0.1922 0.1118 0.0000 [8 per cell]

Most intense lines, 10 to 90 degrees two-theta, sorted by position:
h k l	two_theta	I (rel.)
1 1 0	15.7	43
0 2 0	16.2	12
1 2 1	26.0	100
0 0 2	30.1	13
2 1 1	32.1	12
2 3 1	39.9	12
2 0 2	40.9	15
0 4 2	45.1	16
1 2 3	51.0	15
3 1 2	52.5	13